1.
Structure and computed powder diffraction line list of K2CrH2F8 (a PBE+U-relaxed structure; a wavelength of 1.5418 Å).
Kinematic intensities with the Lorentz-polarization factor, no thermal factor.

The 12 most intense peaks (2θ from 10° to 90°), by angle:
2θ 15.18, d 5.837, I = 100; 2θ 22.19, d 4.006, I = 30; 2θ 22.93, d 3.879, I = 55; 2θ 26.34, d 3.384, I = 64; 2θ 27.61, d 3.230, I = 73; 2θ 29.75, d 3.003, I = 26; 2θ 34.89, d 2.571, I = 21; 2θ 36.54, d 2.459, I = 35; 2θ 37.31, d 2.410, I = 25; 2θ 38.60, d 2.332, I = 39; 2θ 39.06, d 2.306, I = 25; 2θ 52.61, d 1.739, I = 22

Cell and atoms:
Lattice parameters (Å, degrees): 5.349 8.101 8.427 90.00 92.67 90.00
Atoms (fractional coordinates):
K1 0.066 0.187 0.281
K2 0.066 0.313 0.781
K3 0.934 0.687 0.219
K4 0.934 0.813 0.719
Cr1 0.500 0.000 0.000
Cr2 0.500 0.500 0.500
H1 0.378 0.659 0.950
H2 0.378 0.841 0.450
H3 0.622 0.159 0.550
H4 0.622 0.341 0.050
F1 0.206 0.570 0.581
F2 0.206 0.930 0.081
F3 0.219 0.598 0.940
F4 0.219 0.902 0.440
F5 0.349 0.005 0.799
F6 0.349 0.495 0.299
F7 0.406 0.228 0.033
F8 0.406 0.272 0.533
F9 0.594 0.728 0.467
F10 0.594 0.772 0.967
F11 0.651 0.505 0.701
F12 0.651 0.995 0.201
F13 0.781 0.098 0.560
F14 0.781 0.402 0.060
F15 0.794 0.070 0.919
F16 0.794 0.430 0.419

=====

2.
Structure and computed powder diffraction line list of NaCrH8N2F6 (a PBE+U-relaxed structure; a wavelength of 1.5418 Å).
Kinematic intensities with the Lorentz-polarization factor, no thermal factor.

The 12 most intense peaks (2θ from 10° to 90°), by angle:
2θ 17.79, d 4.986, I = 72; 2θ 20.57, d 4.318, I = 100; 2θ 29.25, d 3.053, I = 71; 2θ 36.03, d 2.493, I = 19; 2θ 41.84, d 2.159, I = 98; 2θ 47.06, d 1.931, I = 46; 2θ 51.87, d 1.763, I = 17; 2θ 55.27, d 1.662, I = 16; 2θ 60.66, d 1.527, I = 48; 2θ 64.77, d 1.439, I = 19; 2θ 76.41, d 1.247, I = 13; 2θ 83.83, d 1.154, I = 10

Cell and atoms:
Lattice parameters (Å, degrees): 6.107 6.107 6.107 60.00 60.00 60.00
Atoms (fractional coordinates):
Na1 0.000 0.000 0.000
Cr1 0.500 0.500 0.500
H1 0.044 0.319 0.319
H2 0.319 0.044 0.319
H3 0.319 0.319 0.044
H4 0.319 0.319 0.319
H5 0.681 0.681 0.681
H6 0.681 0.681 0.956
H7 0.681 0.956 0.681
H8 0.956 0.681 0.681
N1 0.250 0.250 0.250
N2 0.750 0.750 0.750
F1 0.274 0.274 0.726
F2 0.274 0.726 0.274
F3 0.274 0.726 0.726
F4 0.726 0.274 0.274
F5 0.726 0.274 0.726
F6 0.726 0.726 0.274